# 1
Structure and computed XRD peak list of ThUNi10 (a cell relaxed with GGA-PBE; copper Kα).
Neutral-atom scattering factors, no anomalous dispersion.

Atomic structure:
a = 3.9910 Å, b = 4.8729 Å, c = 8.4411 Å
α = 90.00°, β = 90.00°, γ = 90.00°
Element x y z (fractional)
Th  0.0000  0.0000  0.0000
U  0.0000  0.5000  0.5000
Ni  0.0000  0.0000  0.3404
Ni  0.0000  0.0000  0.6596
Ni  0.0000  0.5000  0.1778
Ni  0.0000  0.5000  0.8222
Ni  0.5000  0.0000  0.5000
Ni  0.5000  0.2537  0.2562
Ni  0.5000  0.2537  0.7438
Ni  0.5000  0.5000  0.0000
Ni  0.5000  0.7463  0.2562
Ni  0.5000  0.7463  0.7438

Main lines, in order of rising 2θ (2θ from 10° to 80°):
Position (°2θ), I/Imax, hkl
21.05, 15, 0 1 1
30.84, 73, 1 1 1
36.89, 38, 0 2 0
42.86, 38, 0 0 4
43.52, 100, 1 2 0
45.45, 25, 2 0 0
59.91, 19, 2 2 0
62.73, 21, 1 2 4
64.24, 22, 2 0 4
71.05, 22, 1 3 3



# 2
Structure and computed XRD peak list of NbMoP (a cell relaxed with GGA-PBE; copper Kα).
Neutral-atom scattering factors, no anomalous dispersion.

Atomic structure:
a = 12.0056 Å, b = 3.3279 Å, c = 6.8649 Å
α = 90.00°, β = 90.00°, γ = 90.00°
Element x y z (fractional)
Nb  0.0424  0.0000  0.2143
Nb  0.2500  0.0000  0.7996
Nb  0.4576  0.0000  0.2143
Nb  0.5424  0.0000  0.7857
Nb  0.7500  0.0000  0.2004
Nb  0.9576  0.0000  0.7857
Mo  0.1195  0.5000  0.5436
Mo  0.2500  0.5000  0.1604
Mo  0.3805  0.5000  0.5436
Mo  0.6195  0.5000  0.4564
Mo  0.7500  0.5000  0.8396
Mo  0.8805  0.5000  0.4564
P  0.0999  0.5000  0.9158
P  0.2500  0.0000  0.4152
P  0.4001  0.5000  0.9158
P  0.5999  0.5000  0.0842
P  0.7500  0.0000  0.5848
P  0.9001  0.5000  0.0842

Main lines, in order of rising 2θ (2θ from 10° to 80°):
Position (°2θ), I/Imax, hkl
32.56, 27, 4 0 1
37.51, 100, 3 1 1
37.65, 57, 0 1 2
38.41, 25, 1 1 2
39.38, 30, 0 0 3
39.90, 46, 4 0 2
40.47, 40, 4 1 0
45.67, 30, 3 0 3
55.20, 35, 0 2 0
65.51, 23, 3 1 4



# 3
Structure and computed XRD peak list of Li3CeGa8 (a cell relaxed with GGA-PBE; copper Kα).
Neutral-atom scattering factors, no anomalous dispersion.

Atomic structure:
a = 4.3620 Å, b = 4.3620 Å, c = 13.3092 Å
α = 90.00°, β = 90.00°, γ = 120.00°
Element x y z (fractional)
Li  0.0000  0.0000  0.0000
Li  0.0000  0.0000  0.2345
Li  0.0000  0.0000  0.7655
Ce  0.0000  0.0000  0.5000
Ga  0.3333  0.6667  0.1204
Ga  0.3333  0.6667  0.3559
Ga  0.3333  0.6667  0.6441
Ga  0.3333  0.6667  0.8796
Ga  0.6667  0.3333  0.1204
Ga  0.6667  0.3333  0.3559
Ga  0.6667  0.3333  0.6441
Ga  0.6667  0.3333  0.8796

Main lines, in order of rising 2θ (2θ from 10° to 80°):
Position (°2θ), I/Imax, hkl
24.50, 32, 1 0 1
26.79, 31, 0 0 4
27.14, 29, 1 0 2
31.09, 25, 1 0 3
35.97, 100, 1 0 4
41.40, 100, 1 1 0
50.00, 33, 1 1 4
55.98, 27, 2 0 4
71.30, 25, 1 1 8
71.97, 25, 2 1 4